No. 1
Simulated X-ray powder pattern of BaSrCeBiO6 for Cu Kα (weighted mean of Kα1 and Kα2), from a DFT-relaxed cell (PBE, Alexandria).
Neutral-atom scattering factors, no anomalous dispersion.

Structure:
```
data_BaSrCeBiO6
_space_group_name_H-M_alt 'P -1'
_space_group_IT_number 2
_cell_length_a 6.142
_cell_length_b 6.270
_cell_length_c 8.768
_cell_angle_alpha 89.78
_cell_angle_beta 89.87
_cell_angle_gamma 89.85
loop_
_space_group_symop_operation_xyz
'x,y,z'
'-x,-y,-z'
loop_
_atom_site_label
_atom_site_fract_x
_atom_site_fract_y
_atom_site_fract_z
_atom_site_occupancy
Ba1 0.007 0.036 0.253 1
Sr1 0.483 0.543 0.253 1
Ce1 0.000 0.500 0.500 1
Ce2 0.500 0.000 0.000 1
Bi1 0.000 0.500 0.000 1
Bi2 0.500 0.000 0.500 1
O1 0.101 0.512 0.764 1
O2 0.195 0.787 0.460 1
O3 0.212 0.771 0.043 1
O4 0.276 0.293 0.056 1
O5 0.293 0.310 0.446 1
O6 0.425 0.048 0.763 1
```

Main lines, in order of falling intensity (5 to 70 degrees two-theta):
- hkl -1 1 2, 2θ 28.75, intensity 100
- hkl 1 -1 2, 2θ 28.83, intensity 99
- hkl 0 0 4, 2θ 41.14, intensity 51
- hkl 0 2 0, 2θ 28.47, intensity 48
- hkl 2 0 0, 2θ 29.08, intensity 47
- hkl 3 -1 2, 2θ 51.40, intensity 35
- hkl 1 -1 0, 2θ 20.24, intensity 30
- hkl 2 -2 0, 2θ 41.20, intensity 24
- hkl 3 1 2, 2θ 51.26, intensity 23
- hkl 2 2 -4, 2θ 59.69, intensity 22
- hkl 0 2 4, 2θ 50.72, intensity 20
- hkl 1 3 -2, 2θ 50.63, intensity 19

***

No. 2
Simulated X-ray powder pattern of ScCu3 for Cu Kα (weighted mean of Kα1 and Kα2), from a DFT-relaxed cell (PBE, Alexandria).
Neutral-atom scattering factors, no anomalous dispersion.

Structure:
```
data_ScCu3
_space_group_name_H-M_alt 'P m -3 n'
_space_group_IT_number 223
_space_group_name_Hall '-P 4n 2 3'
_cell_length_a 4.857
_cell_length_b 4.857
_cell_length_c 4.857
_cell_angle_alpha 90.00
_cell_angle_beta 90.00
_cell_angle_gamma 90.00
loop_
_atom_site_label
_atom_site_fract_x
_atom_site_fract_y
_atom_site_fract_z
_atom_site_occupancy
Sc1 0.000 0.000 0.000 1
Cu1 0.000 0.250 0.500 1
```

Main lines, in order of falling intensity (5 to 70 degrees two-theta):
- hkl 2 1 0, 2θ 41.58, intensity 100
- hkl 2 1 1, 2θ 45.76, intensity 50
- hkl 2 0 0, 2θ 37.02, intensity 24
- hkl 3 2 0, 2θ 69.83, intensity 19
- hkl 2 2 2, 2θ 66.72, intensity 10
- hkl 1 1 0, 2θ 25.95, intensity 5
- hkl 3 1 0, 2θ 60.26, intensity 1
- hkl 2 2 0, 2θ 53.36, intensity 1